1.
Calculated X-ray diffraction stick pattern of Ce2ZnP2O for Cu Kα X-rays, from a GGA-PBE-relaxed structure.
No peak broadening, texture or thermal motion is included.

Crystal structure
```
Ce2ZnP2O
1.0
3.1939 0.0000 0.0000
0.0000 3.1939 0.0000
0.0000 0.0000 14.1026
Ce Zn P O
2 1 2 1
direct
0.0000 0.0000 0.1465
0.0000 0.0000 0.8535
0.0000 0.0000 0.5000
0.0000 0.0000 0.3419
0.0000 0.0000 0.6581
0.0000 0.0000 0.0000
```

Largest 8 diffraction maxima, by intensity, 15° ≤ 2θ ≤ 90°:
- 27.9 deg, intensity 100
- 18.9 deg, intensity 42
- 33.9 deg, intensity 41
- 39.9 deg, intensity 37
- 48.1 deg, intensity 28
- 44.5 deg, intensity 20
- 38.0 deg, intensity 17
- 56.5 deg, intensity 17

2.
Calculated X-ray diffraction stick pattern of BaCeNbInO6 for Cu Kα X-rays, from a GGA-PBE-relaxed structure.
No peak broadening, texture or thermal motion is included.

Crystal structure
```
BaCeNbInO6
1.0
0.0000 4.2943 4.2943
4.2943 0.0000 4.2943
4.2943 4.2943 0.0000
Ba Ce Nb In O
1 1 1 1 6
direct
0.0000 0.0000 0.0000
0.2500 0.2500 0.2500
0.7500 0.7500 0.7500
0.5000 0.5000 0.5000
0.5137 0.5137 0.9863
0.5137 0.9863 0.5137
0.5137 0.9863 0.9863
0.9863 0.5137 0.5137
0.9863 0.5137 0.9863
0.9863 0.9863 0.5137
```

Largest 8 diffraction maxima, by intensity, 15° ≤ 2θ ≤ 90°:
- 29.4 deg, intensity 100
- 52.2 deg, intensity 40
- 42.1 deg, intensity 31
- 84.4 deg, intensity 21
- 61.0 deg, intensity 19
- 69.2 deg, intensity 18
- 76.9 deg, intensity 6
- 36.2 deg, intensity 2

3.
Calculated X-ray diffraction stick pattern of AlInAg2Se4 for Cu Kα X-rays, from a GGA-PBE-relaxed structure.
No peak broadening, texture or thermal motion is included.

Crystal structure
```
AlInAg2Se4
1.0
-3.0592 3.0592 5.8024
3.0592 -3.0592 5.8024
3.0592 3.0592 -5.8024
Al In Ag Se
1 1 2 4
direct
0.0000 0.0000 0.0000
0.7500 0.2500 0.5000
0.2500 0.7500 0.5000
0.5000 0.5000 0.0000
0.1125 0.1166 0.4643
0.3518 0.8875 0.0041
0.6524 0.6482 0.5357
0.8834 0.3476 0.9959
```

Largest 8 diffraction maxima, by intensity, 15° ≤ 2θ ≤ 90°:
- 25.7 deg, intensity 100
- 43.0 deg, intensity 47
- 49.7 deg, intensity 30
- 41.8 deg, intensity 26
- 77.1 deg, intensity 15
- 51.8 deg, intensity 13
- 68.6 deg, intensity 11
- 60.5 deg, intensity 8